1.
Starting from the PBE geometry in Alexandria, the powder diffractogram of NbReW14 was simulated for Cu Kα.

The 10 most intense peaks (2θ from 10° to 90°), most intense first:
d_spacing  two_theta  intensity
2.255  39.98  100
2.248  40.11  20
1.303  72.56  14
1.302  72.62  14
1.299  72.78  14
1.592  57.92  14
1.128  86.27  11
1.597  57.71  7
1.124  86.60  2
4.508  19.69  1

Structure:
Cell: 5.5159 5.5159 9.0190 Å, 90.00 90.00 109.21°
Fractional positions:
Nb  0.0000  0.0000  0.0000
Re  0.5000  0.5000  0.0000
W  0.0000  0.0000  0.5000
W  0.0000  0.5000  0.0000
W  0.0000  0.5000  0.5000
W  0.2502  0.7498  0.2499
W  0.2502  0.7498  0.7501
W  0.2508  0.2508  0.2513
W  0.2508  0.2508  0.7487
W  0.5000  0.0000  0.0000
W  0.5000  0.0000  0.5000
W  0.5000  0.5000  0.5000
W  0.7492  0.7492  0.2513
W  0.7492  0.7492  0.7487
W  0.7498  0.2502  0.2499
W  0.7498  0.2502  0.7501

---

2.
Starting from the PBE geometry in Alexandria, the powder diffractogram of RbPdSe2 was simulated for Cu Kα.

The 10 most intense peaks (2θ from 10° to 90°), most intense first:
d_spacing  two_theta  intensity
5.560  15.94  100
2.585  34.70  79
3.055  29.23  48
2.047  44.25  22
1.658  55.43  20
4.448  19.96  20
2.486  36.13  17
6.702  13.21  17
1.928  47.13  16
4.972  17.84  15

Structure:
Cell: 6.1107 13.4033 7.4137 Å, 90.00 90.00 90.00°
Fractional positions:
Rb  0.0000  0.1574  0.2500
Rb  0.0000  0.8426  0.7500
Rb  0.5000  0.3426  0.7500
Rb  0.5000  0.6574  0.2500
Pd  0.0000  0.4992  0.2500
Pd  0.0000  0.5008  0.7500
Pd  0.5000  0.0008  0.7500
Pd  0.5000  0.9992  0.2500
Se  0.0000  0.3803  0.5005
Se  0.0000  0.3803  0.9995
Se  0.0000  0.6197  0.0005
Se  0.0000  0.6197  0.4995
Se  0.5000  0.1197  0.0005
Se  0.5000  0.1197  0.4995
Se  0.5000  0.8803  0.5005
Se  0.5000  0.8803  0.9995

---

3.
Starting from the PBE geometry in Alexandria, the powder diffractogram of LaPm4Pr8 was simulated for Cu Kα.

The 10 most intense peaks (2θ from 10° to 90°), most intense first:
d_spacing  two_theta  intensity
2.995  29.83  100
2.391  37.61  49
3.972  22.38  31
1.729  52.95  20
1.655  55.52  17
3.310  26.93  16
1.586  58.18  14
1.498  61.96  12
1.132  85.83  10
1.401  66.75  9

Structure:
Cell: 7.9766 7.9766 7.9766 Å, 97.36 97.36 97.36°
Fractional positions:
La  0.0000  0.0000  0.0000
Pm  0.0000  0.0000  0.5000
Pm  0.0000  0.5000  0.0000
Pm  0.5000  0.0000  0.0000
Pm  0.5000  0.5000  0.5000
Pr  0.1696  0.6658  0.6658
Pr  0.2589  0.2589  0.2589
Pr  0.3342  0.3342  0.8304
Pr  0.3342  0.8304  0.3342
Pr  0.6658  0.1696  0.6658
Pr  0.6658  0.6658  0.1696
Pr  0.7411  0.7411  0.7411
Pr  0.8304  0.3342  0.3342